[1]
Diffraction record for Na2LiCuP2O7. The XRD peak list is simulated, not measured: it uses a GGA-PBE-relaxed structure and Cu Kα (λ = 1.5418 Å).
No peak broadening, texture or thermal motion is included.

Largest 12 diffraction maxima, sorted by position, 5 to 70 degrees two-theta:
| 2θ (°) | I/Imax | h k l |
| --- | --- | --- |
| 13.03 | 42 | 0 2 0 |
| 16.36 | 100 | 0 2 1 |
| 19.78 | 50 | 0 0 2 |
| 21.97 | 48 | 0 3 1 |
| 23.20 | 29 | 1 2 0 |
| 29.21 | 36 | 1 2 -3 |
| 32.66 | 39 | 1 4 0 |
| 33.32 | 54 | 2 0 -2 |
| 34.48 | 33 | 0 5 1 |
| 36.63 | 22 | 1 2 2 |
| 37.03 | 32 | 1 4 1 |
| 37.28 | 22 | 1 4 -3 |

Cell lengths 5.3792, 13.5925, 10.4034 Å; angles 90.00, 120.34, 90.00 degrees
Space group P2_1/c (No. 14)
Unique sites:
1 Na 0.0763 0.1126 0.3482 (multiplicity 4)
2 Na 0.4038 0.2077 0.1476 (multiplicity 4)
3 Li 0.2413 0.6204 0.9994 (multiplicity 4)
4 Cu 0.0671 0.1637 0.7775 (multiplicity 4)
5 P 0.2679 0.6810 0.5437 (multiplicity 4)
6 P 0.5004 0.0438 0.7081 (multiplicity 4)
7 O 0.0447 0.6684 0.3798 (multiplicity 4)
8 O 0.1566 0.7390 0.6318 (multiplicity 4)
9 O 0.2457 0.1154 0.6208 (multiplicity 4)
10 O 0.2628 0.5561 0.8350 (multiplicity 4)
11 O 0.3507 0.5703 0.6150 (multiplicity 4)
12 O 0.4042 0.5631 0.1950 (multiplicity 4)
13 O 0.4532 0.2307 0.9332 (multiplicity 4)

[2]
Diffraction record for Sc2Ga3Cu. The XRD peak list is simulated, not measured: it uses a GGA-PBE-relaxed structure and Cu Kα (λ = 1.5418 Å).
No peak broadening, texture or thermal motion is included.

Largest 10 diffraction maxima, sorted by position, 5 to 70 degrees two-theta:
| 2θ (°) | I/Imax | h k l |
| --- | --- | --- |
| 23.97 | 8 | 0 1 1 |
| 27.37 | 26 | 1 0 0 |
| 36.69 | 100 | 1 1 1 |
| 42.15 | 87 | 0 2 0 |
| 49.07 | 1 | 0 0 4 |
| 50.99 | 28 | 1 2 0 |
| 56.47 | 12 | 2 0 0 |
| 57.09 | 26 | 1 0 4 |
| 62.21 | 1 | 2 1 1 |
| 66.64 | 1 | 0 3 1 |

Cell lengths 3.2591, 4.2890, 7.4241 Å; angles 90.00, 90.00, 90.00 degrees
Space group Pmm2 (No. 25)
Unique sites:
1 Sc 0.0000 0.0000 0.0000 (multiplicity 1)
2 Sc 0.0000 0.5000 0.4963 (multiplicity 1)
3 Ga 0.5000 0.0000 0.6558 (multiplicity 1)
4 Ga 0.5000 0.5000 0.1732 (multiplicity 1)
5 Ga 0.5000 0.5000 0.8334 (multiplicity 1)
6 Cu 0.5000 0.0000 0.3297 (multiplicity 1)